Entry 1:
# MnW2O8
Calculated PXRD pattern, copper Kα. Input: the GGA+U geometry in the Materials Project.

Most intense lines, 2θ from 5° to 70°, in order of rising 2θ:
| 2θ/deg | intensity |
| --- | --- |
| 15.53 | 18 |
| 19.53 | 56 |
| 23.58 | 58 |
| 25.04 | 28 |
| 30.80 | 100 |
| 35.71 | 16 |
| 36.20 | 20 |
| 41.44 | 23 |
| 46.64 | 18 |
| 54.77 | 24 |

```
MnW2O8
1.0
5.0283 0.0000 0.0000
0.0000 5.7053 0.0000
-5.0024 0.0000 9.0928
Mn W O
2 4 16
direct
0.0000 0.1534 0.2500
0.0000 0.8466 0.7500
0.2628 0.3257 0.9959
0.2628 0.6743 0.4959
0.7372 0.3257 0.5041
0.7372 0.6743 0.0041
0.0082 0.0908 0.8779
0.0082 0.9092 0.3779
0.0281 0.3869 0.1102
0.0281 0.6131 0.6102
0.4314 0.1493 0.3599
0.4314 0.8507 0.8599
0.4524 0.3900 0.8854
0.4524 0.6100 0.3854
0.5476 0.3900 0.6146
0.5476 0.6100 0.1146
0.5686 0.1493 0.1401
0.5686 0.8507 0.6401
0.9719 0.3869 0.3898
0.9719 0.6131 0.8898
0.9918 0.0908 0.6221
0.9918 0.9092 0.1221
```

Entry 2:
# CsV3Te2O12
Calculated PXRD pattern, copper Kα. Input: the GGA+U geometry in the Materials Project.

Most intense lines, 2θ from 5° to 70°, in order of rising 2θ:
| 2θ/deg | intensity |
| --- | --- |
| 14.93 | 11 |
| 20.56 | 13 |
| 24.47 | 40 |
| 26.60 | 16 |
| 28.79 | 100 |
| 29.33 | 17 |
| 30.12 | 14 |
| 33.38 | 17 |
| 45.83 | 28 |
| 50.16 | 22 |

```
CsV3Te2O12
1.0
7.2752 0.0000 0.0000
-3.6376 6.3005 0.0000
0.0000 0.0000 11.8696
Cs V Te O
2 6 4 24
direct
0.3333 0.6667 0.0000
0.6667 0.3333 0.5000
0.1298 0.7958 0.3210
0.2042 0.3340 0.3210
0.3340 0.1298 0.8210
0.6660 0.8702 0.3210
0.7958 0.6660 0.8210
0.8702 0.2042 0.8210
0.0000 0.0000 0.0874
0.0000 0.0000 0.5874
0.3333 0.6667 0.5602
0.6667 0.3333 0.0602
0.0851 0.5453 0.3002
0.1178 0.2474 0.8528
0.1209 0.2643 0.1676
0.1295 0.8822 0.8528
0.1434 0.8791 0.1676
0.1882 0.4004 0.4858
0.2122 0.8118 0.4858
0.2474 0.1295 0.3528
0.2643 0.1434 0.6676
0.4004 0.2122 0.9858
0.4547 0.5397 0.3002
0.4603 0.9149 0.3002
0.5397 0.0851 0.8002
0.5453 0.4603 0.8002
0.5996 0.7878 0.4858
0.7357 0.8566 0.1676
0.7526 0.8705 0.8528
0.7878 0.1882 0.9858
0.8118 0.5996 0.9858
0.8566 0.1209 0.6676
0.8705 0.1178 0.3528
0.8791 0.7357 0.6676
0.8822 0.7526 0.3528
0.9149 0.4547 0.8002
```

Entry 3:
# Li2CrP2O7
Calculated PXRD pattern, copper Kα. Input: the GGA+U geometry in the Materials Project.

Most intense lines, 2θ from 5° to 70°, in order of rising 2θ:
| 2θ/deg | intensity |
| --- | --- |
| 13.75 | 52 |
| 19.32 | 87 |
| 26.09 | 43 |
| 27.41 | 18 |
| 27.84 | 100 |
| 28.85 | 87 |
| 33.13 | 28 |
| 34.24 | 17 |
| 34.83 | 26 |
| 42.65 | 35 |

```
Li2CrP2O7
1.0
7.2883 -2.8164 0.0000
7.2883 2.8164 0.0000
-3.7322 0.0000 7.0503
Li Cr P O
4 2 4 14
direct
0.0640 0.3754 0.3102
0.3754 0.0640 0.8102
0.6246 0.9360 0.1898
0.9360 0.6246 0.6898
0.0000 0.0000 0.0000
0.0000 0.0000 0.5000
0.2479 0.5259 0.1438
0.4741 0.7521 0.3562
0.5259 0.2479 0.6438
0.7521 0.4741 0.8562
0.0627 0.6983 0.2853
0.1149 0.6603 0.9714
0.2534 0.3584 0.5831
0.3017 0.9373 0.2147
0.3397 0.8851 0.5286
0.3584 0.2534 0.0831
0.4929 0.5071 0.2500
0.5071 0.4929 0.7500
0.6416 0.7466 0.9169
0.6603 0.1149 0.4714
0.6983 0.0627 0.7853
0.7466 0.6416 0.4169
0.8851 0.3397 0.0286
0.9373 0.3017 0.7147
```

Entry 4:
# LiCrP3O9
Calculated PXRD pattern, copper Kα. Input: the GGA+U geometry in the Materials Project.

Most intense lines, 2θ from 5° to 70°, in order of rising 2θ:
| 2θ/deg | intensity |
| --- | --- |
| 14.18 | 100 |
| 15.86 | 37 |
| 18.43 | 17 |
| 22.20 | 21 |
| 23.33 | 59 |
| 26.44 | 15 |
| 30.98 | 14 |
| 32.03 | 22 |
| 33.44 | 25 |
| 36.48 | 23 |

```
LiCrP3O9
1.0
5.2159 0.0000 0.0000
0.0000 12.4991 0.0000
0.0000 0.0000 12.4931
Li Cr P O
4 4 12 36
direct
0.0566 0.0836 0.2500
0.0566 0.4164 0.7500
0.9434 0.5836 0.2500
0.9434 0.9164 0.7500
0.0000 0.0000 0.0000
0.0000 0.0000 0.5000
0.0000 0.5000 0.0000
0.0000 0.5000 0.5000
0.2299 0.7500 0.0000
0.2299 0.7500 0.5000
0.4958 0.5794 0.6344
0.4958 0.5794 0.8656
0.4958 0.9206 0.1344
0.4958 0.9206 0.3656
0.5042 0.0794 0.6344
0.5042 0.0794 0.8656
0.5042 0.4206 0.1344
0.5042 0.4206 0.3656
0.7701 0.2500 0.0000
0.7701 0.2500 0.5000
0.0898 0.6777 0.0756
0.0898 0.6777 0.4244
0.0898 0.8223 0.5756
0.0898 0.8223 0.9244
0.2260 0.0478 0.6269
0.2260 0.0478 0.8731
0.2260 0.4522 0.1269
0.2260 0.4522 0.3731
0.2972 0.0073 0.1168
0.2972 0.0073 0.3832
0.2972 0.4927 0.6168
0.2972 0.4927 0.8832
0.4476 0.6812 0.5634
0.4476 0.6812 0.9366
0.4476 0.8188 0.0634
0.4476 0.8188 0.4366
0.4490 0.6311 0.7500
0.4490 0.8689 0.2500
0.5510 0.1311 0.7500
0.5510 0.3689 0.2500
0.5524 0.1812 0.5634
0.5524 0.1812 0.9366
0.5524 0.3188 0.0634
0.5524 0.3188 0.4366
0.7028 0.5073 0.1168
0.7028 0.5073 0.3832
0.7028 0.9927 0.6168
0.7028 0.9927 0.8832
0.7740 0.5478 0.6269
0.7740 0.5478 0.8731
0.7740 0.9522 0.1269
0.7740 0.9522 0.3731
0.9102 0.1777 0.0756
0.9102 0.1777 0.4244
0.9102 0.3223 0.5756
0.9102 0.3223 0.9244
```